[1]
Calculated powder X-ray diffraction pattern
Compound: Rb2IBr6
Radiation: Cu Kα
Structure: a DFT-relaxed cell (PBE, Alexandria)
Kinematic intensities with the Lorentz-polarization factor, no thermal factor.

The 8 most intense peaks (2θ from 10° to 90°), by angle:
2θ = 12.91°, I 57.0; 2θ = 25.99°, I 66.7; 2θ = 27.18°, I 46.4; 2θ = 28.80°, I 82.4; 2θ = 29.23°, I 44.4; 2θ = 31.51°, I 100.0; 2θ = 32.72°, I 83.6; 2θ = 32.83°, I 41.5

Structure:
```
data_Rb2IBr6
_cell_length_a 7.4372
_cell_length_b 8.7968
_cell_length_c 13.1465
_cell_angle_alpha 90.00
_cell_angle_beta 123.61
_cell_angle_gamma 90.00
_symmetry_space_group_name_H-M 'P 1'
_symmetry_Int_Tables_number 1
loop_
_symmetry_equiv_pos_as_xyz
'x,y,z'
loop_
_atom_site_label
_atom_site_type_symbol
_atom_site_fract_x
_atom_site_fract_y
_atom_site_fract_z
_atom_site_occupancy
Rb1 Rb 0.2286 0.0836 0.2676 1
Rb2 Rb 0.2286 0.4164 0.7676 1
Rb3 Rb 0.7714 0.5836 0.2324 1
Rb4 Rb 0.7714 0.9164 0.7324 1
I1 I 0.5000 0.0000 0.0000 1
I2 I 0.5000 0.5000 0.5000 1
Br1 Br 0.1699 0.1688 0.9726 1
Br2 Br 0.1699 0.3312 0.4726 1
Br3 Br 0.2471 0.6915 0.9720 1
Br4 Br 0.2471 0.8085 0.4720 1
Br5 Br 0.3102 0.0006 0.7557 1
Br6 Br 0.3102 0.4994 0.2557 1
Br7 Br 0.6898 0.5006 0.7443 1
Br8 Br 0.6898 0.9994 0.2443 1
Br9 Br 0.7529 0.1915 0.5280 1
Br10 Br 0.7529 0.3085 0.0280 1
Br11 Br 0.8301 0.6688 0.5274 1
Br12 Br 0.8301 0.8312 0.0274 1
```

[2]
Calculated powder X-ray diffraction pattern
Compound: RbI4Br
Radiation: Cu Kα
Structure: a DFT-relaxed cell (PBE, Alexandria)
Kinematic intensities with the Lorentz-polarization factor, no thermal factor.

The 8 most intense peaks (2θ from 10° to 90°), by angle:
2θ = 12.69°, I 37.4; 2θ = 18.40°, I 53.5; 2θ = 19.36°, I 86.4; 2θ = 19.78°, I 50.5; 2θ = 22.00°, I 100.0; 2θ = 29.24°, I 66.1; 2θ = 30.09°, I 74.7; 2θ = 33.00°, I 38.3

Structure:
```
data_RbI4Br
_cell_length_a 9.2541
_cell_length_b 9.3104
_cell_length_c 10.0467
_cell_angle_alpha 109.01
_cell_angle_beta 116.49
_cell_angle_gamma 98.12
_symmetry_space_group_name_H-M 'P 1'
_symmetry_Int_Tables_number 1
loop_
_symmetry_equiv_pos_as_xyz
'x,y,z'
loop_
_atom_site_label
_atom_site_type_symbol
_atom_site_fract_x
_atom_site_fract_y
_atom_site_fract_z
_atom_site_occupancy
Rb1 Rb 0.1942 0.2879 0.2469 1
Rb2 Rb 0.8058 0.7121 0.7531 1
I1 I 0.0825 0.0977 0.8062 1
I2 I 0.2191 0.8612 0.1978 1
I3 I 0.3423 0.6778 0.6226 1
I4 I 0.4105 0.4229 0.7138 1
I5 I 0.5895 0.5771 0.2862 1
I6 I 0.6577 0.3222 0.3774 1
I7 I 0.7809 0.1388 0.8022 1
I8 I 0.9175 0.9023 0.1938 1
Br1 Br 0.4727 0.1646 0.7966 1
Br2 Br 0.5273 0.8354 0.2034 1
```

[3]
Calculated powder X-ray diffraction pattern
Compound: Rb6IBr4
Radiation: Cu Kα
Structure: a DFT-relaxed cell (PBE, Alexandria)
Kinematic intensities with the Lorentz-polarization factor, no thermal factor.

The 8 most intense peaks (2θ from 10° to 90°), by angle:
2θ = 23.28°, I 53.6; 2θ = 24.19°, I 26.0; 2θ = 24.93°, I 100.0; 2θ = 26.12°, I 56.4; 2θ = 33.55°, I 39.2; 2θ = 35.17°, I 28.3; 2θ = 36.03°, I 34.4; 2θ = 36.62°, I 29.5

Structure:
```
data_Rb6IBr4
_cell_length_a 8.7309
_cell_length_b 8.7309
_cell_length_c 25.7740
_cell_angle_alpha 90.00
_cell_angle_beta 90.00
_cell_angle_gamma 146.82
_symmetry_space_group_name_H-M 'P 1'
_symmetry_Int_Tables_number 1
loop_
_symmetry_equiv_pos_as_xyz
'x,y,z'
loop_
_atom_site_label
_atom_site_type_symbol
_atom_site_fract_x
_atom_site_fract_y
_atom_site_fract_z
_atom_site_occupancy
Rb1 Rb 0.0000 0.0000 0.0000 1
Rb2 Rb 0.0000 0.0000 0.5000 1
Rb3 Rb 0.1750 0.8250 0.7500 1
Rb4 Rb 0.2740 0.7260 0.0800 1
Rb5 Rb 0.2740 0.7260 0.4200 1
Rb6 Rb 0.4633 0.5367 0.6633 1
Rb7 Rb 0.4633 0.5367 0.8367 1
Rb8 Rb 0.5367 0.4633 0.1633 1
Rb9 Rb 0.5367 0.4633 0.3367 1
Rb10 Rb 0.7260 0.2740 0.5800 1
Rb11 Rb 0.7260 0.2740 0.9200 1
Rb12 Rb 0.8250 0.1750 0.2500 1
I1 I 0.1493 0.8507 0.2500 1
I2 I 0.8507 0.1493 0.7500 1
Br1 Br 0.0954 0.9046 0.6199 1
Br2 Br 0.0954 0.9046 0.8801 1
Br3 Br 0.3633 0.6367 0.5440 1
Br4 Br 0.3633 0.6367 0.9560 1
Br5 Br 0.6367 0.3633 0.0440 1
Br6 Br 0.6367 0.3633 0.4560 1
Br7 Br 0.9046 0.0954 0.1199 1
Br8 Br 0.9046 0.0954 0.3801 1
```

[4]
Calculated powder X-ray diffraction pattern
Compound: RbIBr2
Radiation: Cu Kα
Structure: a DFT-relaxed cell (PBE, Alexandria)
Kinematic intensities with the Lorentz-polarization factor, no thermal factor.

The 8 most intense peaks (2θ from 10° to 90°), by angle:
2θ = 18.94°, I 100.0; 2θ = 21.18°, I 27.3; 2θ = 31.69°, I 60.6; 2θ = 32.97°, I 31.0; 2θ = 37.18°, I 17.6; 2θ = 37.83°, I 28.1; 2θ = 46.36°, I 21.7; 2θ = 49.63°, I 15.2

Structure:
```
data_RbIBr2
_cell_length_a 5.6475
_cell_length_b 5.6475
_cell_length_c 16.3279
_cell_angle_alpha 90.00
_cell_angle_beta 90.00
_cell_angle_gamma 120.00
_symmetry_space_group_name_H-M 'P 1'
_symmetry_Int_Tables_number 1
loop_
_symmetry_equiv_pos_as_xyz
'x,y,z'
loop_
_atom_site_label
_atom_site_type_symbol
_atom_site_fract_x
_atom_site_fract_y
_atom_site_fract_z
_atom_site_occupancy
Rb1 Rb 0.0000 0.0000 0.0000 1
Rb2 Rb 0.0000 0.0000 0.5000 1
I1 I 0.3333 0.6667 0.2500 1
I2 I 0.6667 0.3333 0.7500 1
Br1 Br 0.3333 0.6667 0.0824 1
Br2 Br 0.3333 0.6667 0.4176 1
Br3 Br 0.6667 0.3333 0.5824 1
Br4 Br 0.6667 0.3333 0.9176 1
```

[5]
Calculated powder X-ray diffraction pattern
Compound: Rb2IBr8
Radiation: Cu Kα
Structure: a DFT-relaxed cell (PBE, Alexandria)
Kinematic intensities with the Lorentz-polarization factor, no thermal factor.

The 8 most intense peaks (2θ from 10° to 90°), by angle:
2θ = 14.08°, I 30.9; 2θ = 17.35°, I 100.0; 2θ = 22.58°, I 69.9; 2θ = 27.90°, I 82.6; 2θ = 29.33°, I 52.5; 2θ = 35.12°, I 28.9; 2θ = 35.89°, I 32.2; 2θ = 36.29°, I 39.5

Structure:
```
data_Rb2IBr8
_cell_length_a 6.2998
_cell_length_b 8.5511
_cell_length_c 9.6157
_cell_angle_alpha 88.78
_cell_angle_beta 86.33
_cell_angle_gamma 90.00
_symmetry_space_group_name_H-M 'P 1'
_symmetry_Int_Tables_number 1
loop_
_symmetry_equiv_pos_as_xyz
'x,y,z'
loop_
_atom_site_label
_atom_site_type_symbol
_atom_site_fract_x
_atom_site_fract_y
_atom_site_fract_z
_atom_site_occupancy
Rb1 Rb 0.2240 0.4867 0.1957 1
Rb2 Rb 0.7760 0.5133 0.8043 1
I1 I 0.0000 0.0000 0.5000 1
Br1 Br 0.0433 0.6889 0.5009 1
Br2 Br 0.2748 0.0075 0.8462 1
Br3 Br 0.2766 0.3068 0.8420 1
Br4 Br 0.2773 0.7066 0.8569 1
Br5 Br 0.7227 0.2934 0.1431 1
Br6 Br 0.7234 0.6932 0.1580 1
Br7 Br 0.7252 0.9925 0.1538 1
Br8 Br 0.9567 0.3111 0.4991 1
```

[6]
Calculated powder X-ray diffraction pattern
Compound: Rb3IBr2
Radiation: Cu Kα
Structure: a DFT-relaxed cell (PBE, Alexandria)
Kinematic intensities with the Lorentz-polarization factor, no thermal factor.

The 8 most intense peaks (2θ from 10° to 90°), by angle:
2θ = 24.74°, I 51.6; 2θ = 24.91°, I 100.0; 2θ = 35.05°, I 19.4; 2θ = 35.39°, I 78.8; 2θ = 43.37°, I 21.0; 2θ = 44.15°, I 21.2; 2θ = 57.32°, I 19.2; 2θ = 63.11°, I 19.4

Structure:
```
data_Rb3IBr2
_cell_length_a 4.9931
_cell_length_b 7.1979
_cell_length_c 15.3619
_cell_angle_alpha 90.00
_cell_angle_beta 90.00
_cell_angle_gamma 90.00
_symmetry_space_group_name_H-M 'P 1'
_symmetry_Int_Tables_number 1
loop_
_symmetry_equiv_pos_as_xyz
'x,y,z'
loop_
_atom_site_label
_atom_site_type_symbol
_atom_site_fract_x
_atom_site_fract_y
_atom_site_fract_z
_atom_site_occupancy
Rb1 Rb 0.0000 0.0000 0.0000 1
Rb2 Rb 0.0000 0.0000 0.3220 1
Rb3 Rb 0.0000 0.0000 0.6780 1
Rb4 Rb 0.5000 0.5000 0.1780 1
Rb5 Rb 0.5000 0.5000 0.5000 1
Rb6 Rb 0.5000 0.5000 0.8220 1
I1 I 0.0000 0.5000 0.0000 1
I2 I 0.5000 0.0000 0.5000 1
Br1 Br 0.0000 0.5000 0.3352 1
Br2 Br 0.0000 0.5000 0.6649 1
Br3 Br 0.5000 0.0000 0.1648 1
Br4 Br 0.5000 0.0000 0.8352 1
```

[7]
Calculated powder X-ray diffraction pattern
Compound: RbI2Br8
Radiation: Cu Kα
Structure: a DFT-relaxed cell (PBE, Alexandria)
Kinematic intensities with the Lorentz-polarization factor, no thermal factor.

The 8 most intense peaks (2θ from 10° to 90°), by angle:
2θ = 14.80°, I 16.1; 2θ = 20.47°, I 100.0; 2θ = 22.62°, I 24.0; 2θ = 26.05°, I 46.0; 2θ = 31.62°, I 25.2; 2θ = 34.83°, I 30.7; 2θ = 36.71°, I 19.7; 2θ = 39.59°, I 16.3

Structure:
```
data_RbI2Br8
_cell_length_a 8.7608
_cell_length_b 8.7608
_cell_length_c 9.5376
_cell_angle_alpha 116.17
_cell_angle_beta 116.17
_cell_angle_gamma 52.36
_symmetry_space_group_name_H-M 'P 1'
_symmetry_Int_Tables_number 1
loop_
_symmetry_equiv_pos_as_xyz
'x,y,z'
loop_
_atom_site_label
_atom_site_type_symbol
_atom_site_fract_x
_atom_site_fract_y
_atom_site_fract_z
_atom_site_occupancy
Rb1 Rb 0.0000 0.0000 0.0000 1
I1 I 0.1560 0.1560 0.6088 1
I2 I 0.8440 0.8440 0.3912 1
Br1 Br 0.1435 0.6373 0.2438 1
Br2 Br 0.2126 0.2126 0.3790 1
Br3 Br 0.3627 0.8565 0.7562 1
Br4 Br 0.4485 0.4485 0.0809 1
Br5 Br 0.5515 0.5515 0.9191 1
Br6 Br 0.6373 0.1435 0.2438 1
Br7 Br 0.7874 0.7874 0.6210 1
Br8 Br 0.8565 0.3627 0.7562 1
```

[8]
Calculated powder X-ray diffraction pattern
Compound: Rb2I2Br5
Radiation: Cu Kα
Structure: a DFT-relaxed cell (PBE, Alexandria)
Kinematic intensities with the Lorentz-polarization factor, no thermal factor.

The 8 most intense peaks (2θ from 10° to 90°), by angle:
2θ = 16.92°, I 31.4; 2θ = 19.04°, I 100.0; 2θ = 24.03°, I 46.1; 2θ = 25.37°, I 37.3; 2θ = 28.82°, I 48.3; 2θ = 30.56°, I 36.1; 2θ = 30.79°, I 40.2; 2θ = 34.17°, I 26.8

Structure:
```
data_Rb2I2Br5
_cell_length_a 7.7308
_cell_length_b 10.4266
_cell_length_c 11.1337
_cell_angle_alpha 89.37
_cell_angle_beta 70.44
_cell_angle_gamma 88.11
_symmetry_space_group_name_H-M 'P 1'
_symmetry_Int_Tables_number 1
loop_
_symmetry_equiv_pos_as_xyz
'x,y,z'
loop_
_atom_site_label
_atom_site_type_symbol
_atom_site_fract_x
_atom_site_fract_y
_atom_site_fract_z
_atom_site_occupancy
Rb1 Rb 0.0000 0.0000 0.0000 1
Rb2 Rb 0.1193 0.7132 0.5088 1
Rb3 Rb 0.3645 0.4979 0.9746 1
Rb4 Rb 0.7181 0.2368 0.5242 1
I1 I 0.0376 0.3623 0.7469 1
I2 I 0.3842 0.1430 0.2526 1
I3 I 0.4874 0.8466 0.7751 1
I4 I 0.8215 0.6237 0.2923 1
Br1 Br 0.1043 0.2726 0.2019 1
Br2 Br 0.1328 0.0502 0.4664 1
Br3 Br 0.1469 0.7534 0.1866 1
Br4 Br 0.1687 0.7191 0.8112 1
Br5 Br 0.3098 0.2219 0.7968 1
Br6 Br 0.5068 0.4944 0.4007 1
Br7 Br 0.6420 0.2439 0.0423 1
Br8 Br 0.6490 0.0045 0.3097 1
Br9 Br 0.7681 0.5070 0.6961 1
Br10 Br 0.8011 0.9746 0.7383 1
```